(1)
Simulated PXRD pattern
Compound: Li2V3CrO8
Radiation: Cu Kα
Structure: a DFT-relaxed cell (GGA+U, the Materials Project)

Crystal structure
abc: 5.943 5.966 10.321
angles: 89.29 73.40 60.16
Positions (direct):
Li 0.121 0.437 0.313
Li 0.130 0.936 0.813
Li 0.870 0.064 0.187
Li 0.879 0.563 0.687
V 0.000 0.000 0.500
V 0.000 0.500 0.000
V 0.500 0.000 0.000
V 0.500 0.000 0.500
V 0.500 0.500 0.000
V 0.500 0.500 0.500
Cr 0.485 0.751 0.250
Cr 0.515 0.249 0.750
O 0.245 0.092 0.383
O 0.250 0.645 0.386
O 0.264 0.864 0.607
O 0.267 0.363 0.107
O 0.278 0.135 0.883
O 0.280 0.591 0.883
O 0.281 0.857 0.114
O 0.295 0.367 0.616
O 0.705 0.633 0.384
O 0.719 0.143 0.886
O 0.720 0.409 0.117
O 0.722 0.865 0.117
O 0.733 0.637 0.893
O 0.736 0.136 0.393
O 0.750 0.355 0.614
O 0.755 0.908 0.617

Peak list (6 most intense, 10 to 80 degrees two-theta, in order of falling intensity)
(hkl)  Position (°2θ)  intensity
1 1 1  18.18  100
2 0 4  43.10  49
0 1 -1  18.29  31
0 2 2  42.39  26
2 1 3  35.36  20
2 4 0  62.23  15

---

(2)
Simulated PXRD pattern
Compound: LiMn2O4
Radiation: Cu Kα
Structure: a DFT-relaxed cell (GGA+U, the Materials Project)

Crystal structure
abc: 6.635 6.648 11.003
angles: 94.08 105.89 98.54
Positions (direct):
Li 0.000 0.000 0.000
Li 0.123 0.113 0.774
Li 0.261 0.239 0.266
Li 0.494 0.491 0.519
Li 0.646 0.646 0.006
Li 0.853 0.843 0.504
Mn 0.049 0.545 0.389
Mn 0.151 0.612 0.143
Mn 0.208 0.709 0.887
Mn 0.303 0.787 0.641
Mn 0.379 0.875 0.390
Mn 0.479 0.946 0.143
Mn 0.548 0.044 0.894
Mn 0.626 0.126 0.639
Mn 0.719 0.202 0.390
Mn 0.809 0.287 0.146
Mn 0.871 0.386 0.886
Mn 0.957 0.460 0.632
O 0.040 0.749 0.685
O 0.063 0.312 0.096
O 0.102 0.415 0.802
O 0.121 0.829 0.441
O 0.204 0.501 0.561
O 0.237 0.908 0.214
O 0.285 0.007 0.942
O 0.310 0.578 0.346
O 0.391 0.664 0.076
O 0.393 0.077 0.721
O 0.458 0.171 0.436
O 0.472 0.757 0.842
O 0.537 0.837 0.564
O 0.566 0.235 0.217
O 0.645 0.915 0.347
O 0.651 0.339 0.975
O 0.701 0.418 0.681
O 0.713 0.998 0.066
O 0.802 0.498 0.457
O 0.804 0.093 0.839
O 0.871 0.165 0.567
O 0.901 0.572 0.211
O 0.963 0.672 0.955
O 0.965 0.252 0.323

Peak list (6 most intense, 10 to 80 degrees two-theta, in order of falling intensity)
(hkl)  Position (°2θ)  intensity
1 -1 0  17.80  100
0 3 1  43.47  35
1 2 1  36.02  23
1 -1 4  41.00  20
0 0 4  34.13  13
1 2 5  61.50  10

---

(3)
Simulated PXRD pattern
Compound: Na2LiMnPCO7
Radiation: Cu Kα
Structure: a DFT-relaxed cell (GGA+U, the Materials Project)

Crystal structure
abc: 8.886 6.787 10.263
angles: 90.00 90.52 90.00
Positions (direct):
Na 0.000 0.001 0.000
Na 0.000 0.999 0.500
Na 0.172 0.251 0.755
Na 0.172 0.749 0.255
Na 0.660 0.251 0.003
Na 0.660 0.252 0.503
Na 0.660 0.748 0.003
Na 0.660 0.749 0.503
Li 0.187 0.234 0.262
Li 0.187 0.766 0.762
Li 0.831 0.493 0.253
Li 0.831 0.507 0.753
Mn 0.276 0.498 0.490
Mn 0.276 0.502 0.990
Mn 0.556 0.001 0.767
Mn 0.556 0.999 0.267
P 0.325 0.005 0.026
P 0.325 0.995 0.526
P 0.507 0.495 0.230
P 0.507 0.505 0.730
C 0.861 0.008 0.248
C 0.861 0.992 0.748
C 0.970 0.499 0.014
C 0.970 0.501 0.514
O 0.007 0.025 0.239
O 0.007 0.975 0.739
O 0.009 0.499 0.892
O 0.009 0.501 0.392
O 0.071 0.498 0.107
O 0.071 0.502 0.607
O 0.233 0.180 0.484
O 0.233 0.820 0.984
O 0.235 0.187 0.979
O 0.235 0.813 0.479
O 0.339 0.012 0.179
O 0.339 0.988 0.679
O 0.347 0.482 0.290
O 0.347 0.518 0.790
O 0.486 0.000 0.469
O 0.486 0.000 0.969
O 0.488 0.499 0.079
O 0.488 0.501 0.579
O 0.596 0.318 0.773
O 0.596 0.682 0.273
O 0.608 0.317 0.270
O 0.608 0.683 0.770
O 0.777 0.001 0.643
O 0.777 0.999 0.143
O 0.797 0.000 0.361
O 0.797 0.000 0.861
O 0.828 0.500 0.047
O 0.828 0.500 0.547

Peak list (6 most intense, 10 to 80 degrees two-theta, in order of falling intensity)
(hkl)  Position (°2θ)  intensity
2 2 0  33.22  100
0 2 0  26.26  84
0 0 4  34.97  51
4 2 0  49.02  38
2 0 -2  26.42  28
3 1 2  37.61  26